# 1
Diffraction record for Ba2La2MgTi3O12. The powder XRD pattern is computed, not measured: it uses a PBE-relaxed structure and Cu Ka.

Crystal structure
Unit cell a=9.692 b=9.692 c=9.692 alpha=34.13 beta=34.13 gamma=34.13
Fractional positions:
Ba  0.124  0.124  0.124
Ba  0.876  0.876  0.876
La  0.374  0.374  0.374
La  0.626  0.626  0.626
Mg  0.000  0.000  0.000
Ti  0.253  0.253  0.253
Ti  0.500  0.500  0.500
Ti  0.747  0.747  0.747
O  0.133  0.618  0.618
O  0.136  0.136  0.609
O  0.136  0.609  0.136
O  0.382  0.382  0.867
O  0.382  0.867  0.382
O  0.391  0.864  0.864
O  0.609  0.136  0.136
O  0.618  0.133  0.618
O  0.618  0.618  0.133
O  0.864  0.391  0.864
O  0.864  0.864  0.391
O  0.867  0.382  0.382

Largest 10 diffraction maxima, most intense first, 10 to 90 degrees two-theta:
- 31.46 deg, intensity 1000
- 31.86 deg, intensity 955
- 45.38 deg, intensity 682
- 22.24 deg, intensity 496
- 38.86 deg, intensity 435
- 56.26 deg, intensity 383
- 65.66 deg, intensity 206
- 66.58 deg, intensity 194
- 56.01 deg, intensity 193
- 57.01 deg, intensity 182

---

# 2
Diffraction record for Li3Cu. The powder XRD pattern is computed, not measured: it uses a PBE-relaxed structure and Cu Ka.

Crystal structure
Unit cell a=4.829 b=4.829 c=4.829 alpha=132.32 beta=132.32 gamma=69.73
Fractional positions:
Li  0.000  0.000  0.000
Li  0.250  0.750  0.500
Li  0.750  0.250  0.500
Cu  0.500  0.500  0.000

Largest 10 diffraction maxima, most intense first, 10 to 90 degrees two-theta:
- 25.43 deg, intensity 1000
- 39.79 deg, intensity 524
- 22.44 deg, intensity 339
- 41.26 deg, intensity 271
- 32.43 deg, intensity 268
- 53.76 deg, intensity 236
- 46.52 deg, intensity 165
- 63.91 deg, intensity 133
- 52.24 deg, intensity 130
- 81.69 deg, intensity 110

---

# 3
Diffraction record for CsInI3. The powder XRD pattern is computed, not measured: it uses a PBE-relaxed structure and Cu Ka.

Crystal structure
Unit cell a=6.180 b=6.177 c=6.187 alpha=90.00 beta=90.03 gamma=90.00
Fractional positions:
Cs  0.000  0.000  0.000
In  0.482  0.500  0.510
I  0.492  0.000  0.503
I  0.494  0.500  0.004
I  0.987  0.500  0.492

Largest 10 diffraction maxima, most intense first, 10 to 90 degrees two-theta:
- 28.89 deg, intensity 1000
- 24.95 deg, intensity 761
- 41.31 deg, intensity 746
- 48.87 deg, intensity 360
- 51.19 deg, intensity 263
- 75.32 deg, intensity 247
- 67.78 deg, intensity 221
- 20.32 deg, intensity 180
- 14.33 deg, intensity 176
- 65.86 deg, intensity 148